BaHg2F8: theoretical powder XRD pattern (a wavelength of 1.5418 Å), based on DFT lattice parameters and positions (PBE).
Kinematic intensities with the Lorentz-polarization factor, no thermal factor.

Crystal structure
a b c (Å): 4.7305 6.4801 6.8060
angles (deg): 83.94 89.93 68.63
Space group P1 (No. 1)
Asymmetric unit:
Ba  0.0000  0.0000  0.0000 x1
Hg  0.3083  0.3849  0.5625 x1
Hg  0.6008  0.7971  0.4374 x1
F  0.1714  0.1300  0.3406 x1
F  0.1811  0.6374  0.3223 x1
F  0.3328  0.7758  0.7139 x1
F  0.3999  0.1995  0.8408 x1
F  0.5973  0.8047  0.1184 x1
F  0.6945  0.1329  0.3388 x1
F  0.7941  0.4144  0.5947 x1
F  0.8810  0.7828  0.7129 x1

Principal peaks in the range 2θ from 10° to 80°, by intensity:
d 3.620, 24.6°, I = 100; d 6.763, 13.1°, I = 78; d 3.053, 29.3°, I = 68; d 4.761, 18.6°, I = 67; d 2.368, 38.0°, I = 62; d 2.632, 34.1°, I = 36; d 2.877, 31.1°, I = 33; d 2.118, 42.7°, I = 31; d 3.381, 26.4°, I = 27; d 1.976, 45.9°, I = 25